# Dy3Ge3Pt
Theoretical powder diffraction line list, Cu Kα (weighted mean of Kα1 and Kα2). Input: a PBE-relaxed structure.
Neutral-atom scattering factors, no anomalous dispersion.

Cell and atoms:
abc: 5.7242 5.7242 13.9973
angles: 108.32 108.32 44.29
Positions (direct):
Dy 0.0324 0.0324 0.3782
Dy 0.1013 0.1013 0.9238
Dy 0.2427 0.2427 0.2276
Dy 0.7573 0.7573 0.7724
Dy 0.8987 0.8987 0.0762
Dy 0.9676 0.9676 0.6218
Ge 0.3661 0.3661 0.4615
Ge 0.3784 0.3784 0.9256
Ge 0.4707 0.4707 0.7708
Ge 0.5293 0.5293 0.2292
Ge 0.6216 0.6216 0.0744
Ge 0.6339 0.6339 0.5385
Pt 0.2510 0.2510 0.6126
Pt 0.7490 0.7490 0.3874

The 12 most intense peaks (10 to 90 degrees two-theta), most intense first:
2theta, I (rel.)
32.42, 100
40.15, 81
32.95, 71
41.86, 65
33.06, 45
33.84, 42
37.56, 29
34.69, 27
65.29, 26
54.88, 25
32.84, 22
41.46, 21